Zr3AlZn2: theoretical XRD peak list (a wavelength of 1.5418 Å), based on the PBE geometry in Alexandria.
Lines closer than 0.1° are merged.

Crystal structure
```
12
Lattice="4.9103 0.0000 0.0000 0.0000 14.6636 0.0000 0.0000 0.0000 3.1614" Properties=species:S:1:pos:R:3 pbc="T T T"
Zr 0.0000 0.0000 0.0000
Zr 0.0000 4.8557 0.0000
Zr 0.0000 9.8079 0.0000
Zr 2.4551 2.4761 0.0000
Zr 2.4551 7.3318 0.0000
Zr 2.4551 12.1875 0.0000
Al 0.0000 7.3318 1.5807
Al 2.4551 0.0000 1.5807
Zn 0.0000 2.4504 1.5807
Zn 0.0000 12.2132 1.5807
Zn 2.4551 4.8814 1.5807
Zn 2.4551 9.7822 1.5807
```

Largest 10 diffraction maxima, in order of falling intensity, 15° ≤ 2θ ≤ 90°:
38.6°, I 100; 36.6°, I 29; 36.8°, I 29; 52.9°, I 19; 67.2°, I 18; 67.4°, I 18; 82.6°, I 10; 25.7°, I 9; 70.9°, I 8; 71.0°, I 8

---

Ba2CuOsO6: theoretical XRD peak list (a wavelength of 1.5418 Å), based on the PBE geometry in Alexandria.
Lines closer than 0.1° are merged.

Crystal structure
```
10
Lattice="-2.8135 2.8135 4.4376 2.8135 -2.8135 4.4376 2.8135 2.8135 -4.4376" Properties=species:S:1:pos:R:3 pbc="T T T"
Ba 2.8135 0.0000 2.2188
Ba 0.0000 2.8135 2.2188
Cu 0.0000 0.0000 0.0000
Os 0.0000 0.0000 4.4376
O 1.6238 1.2882 0.0000
O 0.0000 0.0000 2.4950
O 1.5253 -1.1896 4.4376
O 1.2882 4.0031 0.0000
O 0.0000 0.0000 6.3803
O 1.1896 1.5253 4.4376
```

Largest 10 diffraction maxima, in order of falling intensity, 15° ≤ 2θ ≤ 90°:
30.2°, I 100; 31.8°, I 44; 55.7°, I 37; 45.6°, I 25; 18.7°, I 22; 52.5°, I 21; 62.7°, I 18; 40.7°, I 17; 85.3°, I 12; 67.6°, I 11

---

Er4TmCd: theoretical XRD peak list (a wavelength of 1.5418 Å), based on the PBE geometry in Alexandria.
Lines closer than 0.1° are merged.

Crystal structure
```
6
Lattice="3.5115 0.0000 0.0000 0.0000 3.5115 0.0000 0.0000 0.0000 14.0612" Properties=species:S:1:pos:R:3 pbc="T T T"
Er 0.0000 0.0000 2.0940
Er 0.0000 0.0000 11.9672
Er 1.7558 1.7558 4.5685
Er 1.7558 1.7558 9.4928
Tm 0.0000 0.0000 7.0306
Cd 1.7558 1.7558 0.0000
```

Largest 10 diffraction maxima, in order of falling intensity, 15° ≤ 2θ ≤ 90°:
31.8°, I 100; 36.2°, I 38; 62.4°, I 30; 53.8°, I 19; 52.1°, I 13; 38.4°, I 13; 66.5°, I 10; 85.5°, I 9; 65.4°, I 8; 88.2°, I 8

---

AcGa3Ir: theoretical XRD peak list (a wavelength of 1.5418 Å), based on the PBE geometry in Alexandria.
Lines closer than 0.1° are merged.

Crystal structure
```
10
Lattice="4.4610 0.0000 0.0000 0.0000 4.4610 0.0000 0.0000 0.0000 10.6543" Properties=species:S:1:pos:R:3 pbc="T T T"
Ac 0.0000 0.0000 0.0000
Ac 2.2305 2.2305 5.3272
Ga 0.0000 0.0000 6.4135
Ga 0.0000 2.2305 2.6965
Ga 0.0000 2.2305 8.0237
Ga 2.2305 0.0000 2.6965
Ga 2.2305 0.0000 8.0237
Ga 2.2305 2.2305 1.0863
Ir 0.0000 0.0000 3.9238
Ir 2.2305 2.2305 9.2509
```

Largest 10 diffraction maxima, in order of falling intensity, 15° ≤ 2θ ≤ 90°:
32.2°, I 100; 33.0°, I 90; 40.4°, I 68; 52.6°, I 51; 28.3°, I 49; 47.3°, I 40; 63.9°, I 33; 58.5°, I 23; 68.8°, I 22; 21.6°, I 17

---

Dy2Ho2ZnGa4: theoretical XRD peak list (a wavelength of 1.5418 Å), based on the PBE geometry in Alexandria.
Lines closer than 0.1° are merged.

Crystal structure
```
9
Lattice="-3.4702 3.4702 4.3415 3.4702 -3.4702 4.3415 3.4702 3.4702 -4.3415" Properties=species:S:1:pos:R:3 pbc="T T T"
Dy 0.0000 0.0000 1.6288
Dy 0.0000 0.0000 7.0542
Ho 3.4702 0.0000 2.1708
Ho 0.0000 3.4702 2.1708
Zn 0.0000 0.0000 4.3415
Ga 1.7636 1.7636 0.0000
Ga 1.7065 -1.7065 4.3415
Ga -1.7065 1.7065 4.3415
Ga 1.7065 1.7065 4.3415
```

Largest 10 diffraction maxima, in order of falling intensity, 15° ≤ 2θ ≤ 90°:
33.0°, I 100; 36.6°, I 65; 63.7°, I 30; 25.7°, I 28; 33.5°, I 23; 52.8°, I 22; 42.7°, I 21; 56.6°, I 17; 79.3°, I 12; 41.6°, I 11

---

Tc: theoretical XRD peak list (a wavelength of 1.5418 Å), based on the PBE geometry in Alexandria.
Lines closer than 0.1° are merged.

Crystal structure
```
4
Lattice="3.8843 0.0000 0.0000 0.0000 3.8843 0.0000 0.0000 0.0000 3.8843" Properties=species:S:1:pos:R:3 pbc="T T T"
Tc 0.0000 0.0000 0.0000
Tc 0.0000 1.9422 1.9422
Tc 1.9422 0.0000 1.9422
Tc 1.9422 1.9422 0.0000
```

Largest 5 diffraction maxima, in order of falling intensity, 15° ≤ 2θ ≤ 90°:
40.2°, I 100; 46.8°, I 48; 82.3°, I 36; 68.3°, I 30; 86.9°, I 11

---

GeH4Pd6: theoretical XRD peak list (a wavelength of 1.5418 Å), based on the PBE geometry in Alexandria.
Lines closer than 0.1° are merged.

Crystal structure
```
22
Lattice="3.7076 0.0000 0.0000 0.0000 13.8060 0.0000 -1.8339 0.0000 4.7584" Properties=species:S:1:pos:R:3 pbc="T T T"
Ge 0.0118 3.4515 1.7517
Ge 1.8619 10.3545 3.0066
H -1.1981 1.6305 4.0410
H -1.1981 5.2725 4.0410
H 1.1255 0.4949 1.3541
H 1.1255 6.4081 1.3541
H 0.7482 7.3979 3.4043
H 0.7482 13.3112 3.4043
H 3.0718 8.5335 0.7174
H 3.0718 12.1756 0.7174
Pd 0.0000 0.0000 0.0000
Pd 0.0000 6.9030 0.0000
Pd -0.0006 10.3545 1.1706
Pd -0.0069 1.1117 2.7683
Pd -0.0069 5.7913 2.7683
Pd 0.0163 8.9520 4.0194
Pd 0.0163 11.7570 4.0194
Pd 1.8574 2.0490 0.7390
Pd 1.8574 4.8540 0.7390
Pd 1.8806 8.0147 1.9901
Pd 1.8806 12.6943 1.9901
Pd 1.8743 3.4515 3.5878
```

Largest 10 diffraction maxima, in order of falling intensity, 15° ≤ 2θ ≤ 90°:
36.8°, I 100; 37.8°, I 37; 43.7°, I 37; 49.1°, I 36; 38.0°, I 35; 39.7°, I 30; 39.5°, I 29; 32.4°, I 29; 37.7°, I 25; 40.1°, I 23

---

K2Ge2PbS6: theoretical XRD peak list (a wavelength of 1.5418 Å), based on the PBE geometry in Alexandria.
Lines closer than 0.1° are merged.

Crystal structure
```
22
Lattice="4.7383 -7.3642 0.0000 4.7383 7.3642 0.0000 -0.0044 0.0000 9.0965" Properties=species:S:1:pos:R:3 pbc="T T T"
K 3.7735 5.3609 8.9529
K 5.6966 5.3609 4.6918
K 3.7757 -5.3609 4.4047
K 5.6988 -5.3609 0.1436
Ge 2.9902 2.3666 4.0239
Ge 2.9880 -2.3666 8.5722
Ge 6.4842 2.3666 0.5243
Ge 6.4820 -2.3666 5.0726
Pb 4.7350 0.1145 6.8224
Pb 4.7372 -0.1145 2.2741
S 2.0120 2.9297 6.0197
S 1.9140 0.7452 3.0286
S 1.9118 -0.7452 7.5768
S 4.3373 1.9611 0.2880
S 5.1371 1.9611 4.2602
S 2.0142 -2.9297 1.4714
S 7.4581 2.9297 7.6251
S 4.3351 -1.9611 4.8363
S 5.1349 -1.9611 8.8085
S 7.5604 0.7452 1.5197
S 7.5582 -0.7452 6.0679
S 7.4603 -2.9297 3.0768
```

Largest 10 diffraction maxima, in order of falling intensity, 15° ≤ 2θ ≤ 90°:
31.3°, I 100; 23.0°, I 87; 22.5°, I 83; 28.4°, I 81; 22.3°, I 73; 36.6°, I 62; 35.1°, I 57; 29.8°, I 47; 28.9°, I 39; 44.1°, I 38

---

What did the fifth record say?
Dy2Ho2ZnGa4: theoretical XRD peak list (a wavelength of 1.5418 Å), based on the PBE geometry in Alexandria.
Lines closer than 0.1° are merged.

Crystal structure
```
9
Lattice="-3.4702 3.4702 4.3415 3.4702 -3.4702 4.3415 3.4702 3.4702 -4.3415" Properties=species:S:1:pos:R:3 pbc="T T T"
Dy 0.0000 0.0000 1.6288
Dy 0.0000 0.0000 7.0542
Ho 3.4702 0.0000 2.1708
Ho 0.0000 3.4702 2.1708
Zn 0.0000 0.0000 4.3415
Ga 1.7636 1.7636 0.0000
Ga 1.7065 -1.7065 4.3415
Ga -1.7065 1.7065 4.3415
Ga 1.7065 1.7065 4.3415
```

Largest 10 diffraction maxima, in order of falling intensity, 15° ≤ 2θ ≤ 90°:
33.0°, I 100; 36.6°, I 65; 63.7°, I 30; 25.7°, I 28; 33.5°, I 23; 52.8°, I 22; 42.7°, I 21; 56.6°, I 17; 79.3°, I 12; 41.6°, I 11